Entry 1:
Diffraction record for LaTc2Os. The powder XRD pattern is calculated, not measured: it uses a PBE-relaxed structure and Cu Ka.
Kinematic intensities with the Lorentz-polarization factor, no thermal factor.

```
4
Lattice="4.8623 -1.5406 0.0000 4.8623 1.5406 0.0000 -1.3966 0.0000 5.1399" Properties=species:S:1:pos:R:3 pbc="T T T"
La 0.0000 0.0000 0.0000
Tc 1.2009 0.0000 3.4344
Tc 7.1271 0.0000 1.7054
Os 4.1640 0.0000 2.5699
```

Largest 6 diffraction maxima, in order of rising 2θ, 10 to 80 degrees two-theta:
- 17.25 deg, rel. 31.4
- 35.14 deg, rel. 57.5
- 36.54 deg, rel. 100.0
- 38.37 deg, rel. 42.2
- 41.66 deg, rel. 83.9
- 60.02 deg, rel. 21.3

Entry 2:
Diffraction record for CaAlGaGe2. The powder XRD pattern is calculated, not measured: it uses a PBE-relaxed structure and Cu Ka.
Kinematic intensities with the Lorentz-polarization factor, no thermal factor.

```
10
Lattice="4.3076 0.0000 0.0000 -2.1417 6.0861 0.0000 -0.0107 -0.0075 8.7373" Properties=species:S:1:pos:R:3 pbc="T T T"
Ca 0.0006 2.2554 1.7523
Ca 2.1546 3.8232 6.9849
Al 0.0073 5.5940 2.2694
Al 2.1479 0.4845 6.4679
Ga 0.0022 1.9868 5.1588
Ga 2.1530 4.0918 3.5784
Ge -0.0056 1.1426 7.6662
Ge -0.0026 4.6013 4.8737
Ge 2.1578 1.4773 3.8636
Ge 2.1608 4.9360 1.0710
```

Largest 6 diffraction maxima, in order of rising 2θ, 10 to 80 degrees two-theta:
- 10.12 deg, rel. 87.7
- 24.17 deg, rel. 70.7
- 29.35 deg, rel. 42.8
- 35.95 deg, rel. 50.3
- 38.02 deg, rel. 100.0
- 41.95 deg, rel. 54.7

Entry 3:
Diffraction record for Pa2Ta3Ge4. The powder XRD pattern is calculated, not measured: it uses a PBE-relaxed structure and Cu Ka.
Kinematic intensities with the Lorentz-polarization factor, no thermal factor.

```
18
Lattice="7.1812 0.0000 0.0000 0.0000 7.1823 0.0000 -2.4298 0.0000 6.6608" Properties=species:S:1:pos:R:3 pbc="T T T"
Pa 1.2098 1.2227 0.3771
Pa -0.0051 2.3684 3.7075
Pa 4.7565 4.8138 2.9533
Pa 3.5416 5.9596 6.2837
Ta 1.1789 4.7693 1.6447
Ta -0.0360 6.0041 4.9751
Ta 2.3757 0.0000 3.3304
Ta 3.5906 3.5911 0.0000
Ta 4.7874 1.1781 1.6857
Ta 3.5725 2.4130 5.0162
Ge -1.4542 3.9165 5.6948
Ge -0.2393 6.8569 2.3644
Ge 2.0430 4.5579 4.2216
Ge 3.2579 6.2155 0.8912
Ge 1.4935 0.9668 5.7696
Ge 2.7084 2.6244 2.4392
Ge 4.9907 0.3254 4.2964
Ge 6.2056 3.2657 0.9660
```

Largest 6 diffraction maxima, in order of rising 2θ, 10 to 80 degrees two-theta:
- 33.09 deg, rel. 41.4
- 35.63 deg, rel. 100.0
- 36.16 deg, rel. 93.2
- 36.55 deg, rel. 40.6
- 40.00 deg, rel. 83.5
- 40.15 deg, rel. 94.7

Entry 4:
Diffraction record for Ba3Cd3In8. The powder XRD pattern is calculated, not measured: it uses a PBE-relaxed structure and Cu Ka.
Kinematic intensities with the Lorentz-polarization factor, no thermal factor.

```
14
Lattice="-2.5534 5.4944 7.4308 2.5534 -5.4944 7.4308 2.5534 5.4944 -7.4308" Properties=species:S:1:pos:R:3 pbc="T T T"
Ba 0.0000 0.0000 0.0000
Ba 0.0000 0.0000 4.4570
Ba 0.0000 0.0000 10.4046
Cd 2.5534 3.5052 0.0000
Cd 0.0000 5.4944 0.0000
Cd 0.0000 1.9892 7.4308
In 2.5534 -1.5014 2.3106
In 2.5534 -2.3788 5.2912
In 2.5534 1.5014 2.3106
In 0.0000 3.1155 2.1396
In 2.5534 2.3788 5.2912
In 0.0000 3.9929 5.1202
In 0.0000 7.8732 2.1396
In 0.0000 6.9958 5.1202
```

Largest 6 diffraction maxima, in order of rising 2θ, 10 to 80 degrees two-theta:
- 29.95 deg, rel. 100.0
- 30.85 deg, rel. 20.7
- 32.40 deg, rel. 28.6
- 35.15 deg, rel. 40.5
- 36.27 deg, rel. 22.0
- 38.76 deg, rel. 20.9

Entry 5:
Diffraction record for Na2CaCeF8. The powder XRD pattern is calculated, not measured: it uses a PBE-relaxed structure and Cu Ka.
Kinematic intensities with the Lorentz-polarization factor, no thermal factor.

```
12
Lattice="3.9034 0.0000 0.0000 0.0000 5.5990 0.0000 0.0000 0.0000 7.8325" Properties=species:S:1:pos:R:3 pbc="T T T"
Na 0.0000 0.0000 1.7630
Na 0.0000 0.0000 6.0695
Ca 1.9517 2.7995 0.0000
Ce 1.9517 2.7995 3.9163
F 0.0000 1.4746 0.0000
F 0.0000 1.5177 3.9163
F 0.0000 4.0813 3.9163
F 0.0000 4.1244 0.0000
F 1.9517 1.4922 2.1125
F 1.9517 1.4922 5.7200
F 1.9517 4.1067 2.1125
F 1.9517 4.1067 5.7200
```

Largest 6 diffraction maxima, in order of rising 2θ, 10 to 80 degrees two-theta:
- 11.30 deg, rel. 34.7
- 15.83 deg, rel. 41.7
- 19.49 deg, rel. 25.2
- 22.74 deg, rel. 28.5
- 27.83 deg, rel. 100.0
- 46.15 deg, rel. 63.3

Entry 6:
Diffraction record for YHo10Er4. The powder XRD pattern is calculated, not measured: it uses a PBE-relaxed structure and Cu Ka.
Kinematic intensities with the Lorentz-polarization factor, no thermal factor.

```
15
Lattice="-6.0323 6.0323 3.8123 6.0323 -6.0323 3.8123 6.0323 6.0323 -3.8123" Properties=species:S:1:pos:R:3 pbc="T T T"
Y 0.0000 0.0000 0.0000
Ho 4.8253 3.6015 -1.8965
Ho 2.4308 -1.2070 1.9158
Ho 6.0323 0.0000 1.9061
Ho 3.6015 7.2393 -1.8965
Ho 1.2070 2.4308 1.9158
Ho 4.8253 3.6015 1.8965
Ho 2.4308 -1.2070 5.7088
Ho 0.0000 6.0323 1.9061
Ho 3.6015 7.2393 1.8965
Ho 1.2070 2.4308 5.7088
Er 7.2425 2.4154 0.0000
Er 2.4154 4.8221 0.0000
Er 3.6169 1.2102 3.8123
Er -1.2102 3.6169 3.8123
```

Largest 6 diffraction maxima, in order of rising 2θ, 10 to 80 degrees two-theta:
- 20.16 deg, rel. 23.4
- 23.32 deg, rel. 16.6
- 33.22 deg, rel. 100.0
- 47.69 deg, rel. 18.3
- 59.35 deg, rel. 38.1
- 79.46 deg, rel. 16.5

Entry 7:
Diffraction record for ZnBi2MoOs. The powder XRD pattern is calculated, not measured: it uses a PBE-relaxed structure and Cu Ka.
Kinematic intensities with the Lorentz-polarization factor, no thermal factor.

```
5
Lattice="5.2809 0.0000 0.0000 0.0000 5.2809 0.0000 0.0000 0.0000 4.8711" Properties=species:S:1:pos:R:3 pbc="T T T"
Zn 0.0000 0.0000 0.0000
Bi 0.0000 2.6404 2.4356
Bi 2.6404 0.0000 2.4356
Mo 0.0000 0.0000 2.4356
Os 2.6404 2.6404 0.0000
```

Largest 6 diffraction maxima, in order of rising 2θ, 10 to 80 degrees two-theta:
- 30.16 deg, rel. 100.0
- 33.95 deg, rel. 66.5
- 36.91 deg, rel. 26.6
- 48.77 deg, rel. 24.2
- 51.01 deg, rel. 42.5
- 58.42 deg, rel. 32.2

Entry 8:
Diffraction record for RbMn4Tl3Cl12. The powder XRD pattern is calculated, not measured: it uses a PBE-relaxed structure and Cu Ka.
Kinematic intensities with the Lorentz-polarization factor, no thermal factor.

```
20
Lattice="7.7148 4.4541 3.8590 -7.7148 4.4541 3.8590 0.0000 -8.9083 3.8590" Properties=species:S:1:pos:R:3 pbc="T T T"
Rb 0.0000 0.0000 0.0000
Mn -3.5594 -6.1651 5.7885
Mn 0.0000 0.0000 5.7885
Mn -3.5594 6.1651 5.7885
Mn 7.1189 0.0000 5.7885
Tl -4.1431 -1.7322 3.8590
Tl 3.5717 -2.7220 3.8590
Tl 0.5715 4.4541 3.8590
Cl -4.8194 -4.2624 5.7822
Cl -6.0324 0.0000 5.7885
Cl -1.2817 -6.3049 5.7948
Cl -4.8194 4.2624 5.7948
Cl -2.2714 0.0000 5.7885
Cl 3.0162 -5.2242 5.7885
Cl 1.1357 -1.9671 5.7885
Cl 1.1357 1.9671 5.7885
Cl -1.2816 6.3049 5.7822
Cl 6.1010 -2.0425 5.7822
Cl 3.0162 5.2242 5.7885
Cl 6.1011 2.0425 5.7948
```

Largest 6 diffraction maxima, in order of rising 2θ, 10 to 80 degrees two-theta:
- 15.31 deg, rel. 26.6
- 19.17 deg, rel. 28.5
- 20.30 deg, rel. 100.0
- 23.06 deg, rel. 30.6
- 28.60 deg, rel. 25.3
- 33.75 deg, rel. 27.5

Entry 9:
Diffraction record for CsAc2CdSe4. The powder XRD pattern is calculated, not measured: it uses a PBE-relaxed structure and Cu Ka.
Kinematic intensities with the Lorentz-polarization factor, no thermal factor.

```
16
Lattice="2.3206 -7.7343 0.0000 2.3206 7.7343 0.0000 0.0000 0.0000 15.6860" Properties=species:S:1:pos:R:3 pbc="T T T"
Cs 2.3206 5.9569 11.7645
Cs 2.3206 -5.9569 3.9215
Ac 2.3206 1.9627 8.7047
Ac 2.3206 1.9627 14.8242
Ac 2.3206 -1.9627 0.8618
Ac 2.3206 -1.9627 6.9812
Cd 2.3206 5.2853 3.9215
Cd 2.3206 -5.2853 11.7645
Se 0.0000 0.0000 0.0000
Se 0.0000 0.0000 7.8430
Se 2.3206 3.7200 1.6905
Se 2.3206 3.7200 6.1525
Se 2.3206 1.0712 11.7645
Se 2.3206 -1.0712 3.9215
Se 2.3206 -3.7200 9.5334
Se 2.3206 -3.7200 13.9955
```

Largest 6 diffraction maxima, in order of rising 2θ, 10 to 80 degrees two-theta:
- 20.50 deg, rel. 38.1
- 23.00 deg, rel. 58.4
- 26.46 deg, rel. 54.4
- 28.26 deg, rel. 100.0
- 38.80 deg, rel. 63.4
- 38.98 deg, rel. 64.1

Entry 10:
Diffraction record for Sr8MgTl2. The powder XRD pattern is calculated, not measured: it uses a PBE-relaxed structure and Cu Ka.
Kinematic intensities with the Lorentz-polarization factor, no thermal factor.

```
11
Lattice="-2.8805 4.9135 8.2266 2.8805 -4.9135 8.2266 2.8805 4.9135 -8.2266" Properties=species:S:1:pos:R:3 pbc="T T T"
Sr 2.8805 2.8387 -2.6567
Sr 0.0000 0.0000 2.2652
Sr 0.0000 3.1542 0.0000
Sr 2.8805 2.8387 2.6567
Sr 0.0000 2.0747 5.5699
Sr 0.0000 6.6728 0.0000
Sr 0.0000 0.0000 14.1880
Sr 0.0000 2.0747 10.8833
Mg 2.8805 0.0000 0.0000
Tl 2.8805 0.0000 5.0120
Tl 0.0000 4.9135 3.2146
```

Largest 6 diffraction maxima, in order of rising 2θ, 10 to 80 degrees two-theta:
- 10.75 deg, rel. 22.2
- 28.16 deg, rel. 19.4
- 28.90 deg, rel. 100.0
- 31.05 deg, rel. 30.1
- 33.30 deg, rel. 22.0
- 53.92 deg, rel. 18.3

Entry 11:
Diffraction record for GaSnI2Br. The powder XRD pattern is calculated, not measured: it uses a PBE-relaxed structure and Cu Ka.
Kinematic intensities with the Lorentz-polarization factor, no thermal factor.

```
10
Lattice="2.2678 -7.4319 0.0000 2.2678 7.4319 0.0000 0.0000 0.0000 10.9827" Properties=species:S:1:pos:R:3 pbc="T T T"
Ga 2.2678 4.0563 8.2370
Ga 2.2678 -4.0563 2.7457
Sn 2.2678 0.0000 0.0000
Sn 2.2678 0.0000 5.4914
I 2.2678 5.2828 0.6660
I 2.2678 5.2828 4.8254
I 2.2678 -5.2828 6.1573
I 2.2678 -5.2828 10.3168
Br 2.2678 1.2556 2.7457
Br 2.2678 -1.2556 8.2370
```

Largest 6 diffraction maxima, in order of rising 2θ, 10 to 80 degrees two-theta:
- 26.65 deg, rel. 100.0
- 27.15 deg, rel. 65.6
- 27.88 deg, rel. 43.4
- 31.31 deg, rel. 61.0
- 31.99 deg, rel. 38.5
- 39.77 deg, rel. 68.8

Entry 12:
Diffraction record for Pm3Sm5Er2. The powder XRD pattern is calculated, not measured: it uses a PBE-relaxed structure and Cu Ka.
Kinematic intensities with the Lorentz-polarization factor, no thermal factor.

```
20
Lattice="5.4088 -7.6398 0.0000 5.4088 7.6398 0.0000 -5.3674 0.0000 8.2123" Properties=species:S:1:pos:R:3 pbc="T T T"
Pm 1.2954 1.9251 0.4230
Pm 1.3833 4.1412 6.1592
Pm -1.3883 -1.9251 4.5291
Pm 6.8386 1.9251 3.6832
Pm 4.0670 -4.1412 2.0531
Pm 4.1549 -1.9251 7.7893
Sm 1.3833 7.3153 6.1592
Sm -1.2873 1.8631 6.3620
Sm 4.0670 3.4742 2.0531
Sm 1.3964 -1.8631 2.2559
Sm 4.0670 0.4132 2.0531
Sm 1.3833 -0.4132 6.1592
Sm 4.0539 1.8631 5.9564
Sm 1.3833 -3.4742 6.1592
Sm 6.7376 -1.8631 1.8502
Sm 4.0670 -7.3153 2.0531
Er 1.3016 1.8760 3.6916
Er -1.3821 -1.8760 7.7978
Er 6.8324 1.8760 0.4145
Er 4.1487 -1.8760 4.5207
```

Largest 6 diffraction maxima, in order of rising 2θ, 10 to 80 degrees two-theta:
- 29.65 deg, rel. 49.9
- 29.78 deg, rel. 50.9
- 30.65 deg, rel. 100.0
- 32.00 deg, rel. 23.3
- 33.13 deg, rel. 47.6
- 48.86 deg, rel. 27.1